For Sm2CoSi2Os, DFT lattice parameters and positions (PBE) gives the theoretical powder X-ray diffraction pattern in this record (copper Kα).
Neutral-atom scattering factors, no anomalous dispersion.

Cell and atoms:
```
Sm2CoSi2Os
1.0
4.074 0.000 0.000
0.000 4.074 0.000
0.000 0.000 6.951
Sm Co Si Os
2 1 2 1
Direct
0.000 0.500 0.178
0.500 0.000 0.822
0.000 0.000 0.500
0.000 0.500 0.681
0.500 0.000 0.319
0.500 0.500 0.500
```

Peak list (8 most intense, 5 to 70 degrees two-theta, sorted by position)
d = 6.951 Å, 12.7°, rel. 406
d = 3.515 Å, 25.3°, rel. 966
d = 2.662 Å, 33.7°, rel. 956
d = 2.644 Å, 33.9°, rel. 693
d = 2.218 Å, 40.7°, rel. 1000
d = 2.037 Å, 44.5°, rel. 639
d = 1.614 Å, 57.1°, rel. 313
d = 1.530 Å, 60.5°, rel. 332

For K2RbTbAs2O8, DFT lattice parameters and positions (PBE) gives the theoretical powder X-ray diffraction pattern in this record (copper Kα).
Neutral-atom scattering factors, no anomalous dispersion.

Cell and atoms:
```
K2RbTbAs2O8
1.0
5.886 0.000 0.000
-2.943 5.097 0.000
0.000 0.000 7.599
K Rb Tb As O
2 1 1 2 8
Direct
0.333 0.667 0.188
0.667 0.333 0.812
0.000 0.000 0.500
0.000 0.000 0.000
0.333 0.667 0.737
0.667 0.333 0.263
0.177 0.354 0.825
0.177 0.823 0.825
0.333 0.667 0.517
0.354 0.177 0.175
0.646 0.823 0.825
0.667 0.333 0.483
0.823 0.177 0.175
0.823 0.646 0.175
```

Peak list (8 most intense, 5 to 70 degrees two-theta, sorted by position)
d = 5.097 Å, 17.4°, rel. 210
d = 4.233 Å, 21.0°, rel. 363
d = 3.046 Å, 29.3°, rel. 1000
d = 2.943 Å, 30.4°, rel. 970
d = 2.117 Å, 42.7°, rel. 485
d = 1.718 Å, 53.3°, rel. 354
d = 1.699 Å, 54.0°, rel. 182
d = 1.596 Å, 57.8°, rel. 239

For Mg9Al3Cu2Si7, DFT lattice parameters and positions (PBE) gives the theoretical powder X-ray diffraction pattern in this record (copper Kα).
Neutral-atom scattering factors, no anomalous dispersion.

Cell and atoms:
```
Mg9Al3Cu2Si7
1.0
10.410 0.000 0.000
-5.205 9.015 0.000
0.000 0.000 3.997
Mg Al Cu Si
9 3 2 7
Direct
0.005 0.801 0.000
0.141 0.521 0.000
0.199 0.203 0.000
0.380 0.859 0.000
0.479 0.620 0.000
0.503 0.365 0.500
0.635 0.138 0.500
0.797 0.995 0.000
0.862 0.497 0.500
0.251 0.006 0.500
0.755 0.749 0.500
0.994 0.245 0.500
0.333 0.667 0.500
0.667 0.333 0.000
0.000 0.000 0.500
0.143 0.727 0.500
0.273 0.416 0.500
0.419 0.131 0.000
0.584 0.857 0.500
0.712 0.581 0.000
0.869 0.288 0.000
```

Peak list (8 most intense, 5 to 70 degrees two-theta, sorted by position)
d = 5.205 Å, 17.0°, rel. 308
d = 3.654 Å, 24.4°, rel. 265
d = 2.593 Å, 34.6°, rel. 1000
d = 2.120 Å, 42.7°, rel. 357
d = 1.998 Å, 45.4°, rel. 267
d = 1.967 Å, 46.1°, rel. 473
d = 1.963 Å, 46.2°, rel. 195
d = 1.402 Å, 66.7°, rel. 299

For Mg4Os3, DFT lattice parameters and positions (PBE) gives the theoretical powder X-ray diffraction pattern in this record (copper Kα).
Neutral-atom scattering factors, no anomalous dispersion.

Cell and atoms:
```
Mg4Os3
1.0
7.807 0.000 0.000
-3.903 6.761 0.000
0.000 0.000 4.412
Mg Os
8 6
Direct
0.139 0.859 0.250
0.141 0.280 0.250
0.280 0.139 0.750
0.333 0.667 0.250
0.667 0.333 0.750
0.720 0.861 0.250
0.859 0.720 0.750
0.861 0.141 0.750
0.099 0.550 0.750
0.450 0.549 0.750
0.451 0.901 0.750
0.549 0.099 0.250
0.550 0.451 0.250
0.901 0.450 0.250
```

Peak list (8 most intense, 5 to 70 degrees two-theta, sorted by position)
d = 6.761 Å, 13.1°, rel. 820
d = 3.695 Å, 24.1°, rel. 399
d = 3.380 Å, 26.4°, rel. 468
d = 2.210 Å, 40.8°, rel. 1000
d = 2.007 Å, 45.2°, rel. 417
d = 1.848 Å, 49.3°, rel. 176
d = 1.577 Å, 58.5°, rel. 137
d = 1.463 Å, 63.6°, rel. 171

For FeMo4N3, DFT lattice parameters and positions (PBE) gives the theoretical powder X-ray diffraction pattern in this record (copper Kα).
Neutral-atom scattering factors, no anomalous dispersion.

Cell and atoms:
```
FeMo4N3
1.0
2.828 0.000 0.000
-1.414 2.449 0.000
0.000 0.000 25.527
Fe Mo N
2 8 6
Direct
0.333 0.667 0.250
0.667 0.333 0.750
0.000 0.000 0.169
0.000 0.000 0.331
0.000 0.000 0.669
0.000 0.000 0.831
0.333 0.667 0.057
0.333 0.667 0.443
0.667 0.333 0.557
0.667 0.333 0.943
0.000 0.000 0.000
0.000 0.000 0.500
0.333 0.667 0.614
0.333 0.667 0.886
0.667 0.333 0.114
0.667 0.333 0.386
```

Peak list (8 most intense, 5 to 70 degrees two-theta, sorted by position)
d = 3.191 Å, 28.0°, rel. 253
d = 2.553 Å, 35.2°, rel. 234
d = 2.405 Å, 37.4°, rel. 291
d = 2.208 Å, 40.9°, rel. 621
d = 2.123 Å, 42.6°, rel. 1000
d = 1.685 Å, 54.5°, rel. 191
d = 1.606 Å, 57.4°, rel. 208
d = 1.414 Å, 66.1°, rel. 322

For Lu2SiC, DFT lattice parameters and positions (PBE) gives the theoretical powder X-ray diffraction pattern in this record (copper Kα).
Neutral-atom scattering factors, no anomalous dispersion.

Cell and atoms:
```
Lu2SiC
1.0
5.304 -3.035 0.000
5.304 3.035 0.000
-3.499 0.000 14.255
Lu Si C
12 6 6
Direct
0.015 0.879 0.593
0.121 0.985 0.907
0.194 0.365 0.090
0.298 0.475 0.411
0.365 0.194 0.590
0.475 0.298 0.911
0.525 0.702 0.089
0.635 0.806 0.410
0.702 0.525 0.589
0.806 0.635 0.910
0.879 0.015 0.093
0.985 0.121 0.407
0.100 0.292 0.750
0.292 0.100 0.250
0.293 0.707 0.250
0.707 0.293 0.750
0.708 0.900 0.750
0.900 0.708 0.250
0.000 0.500 0.500
0.164 0.671 0.995
0.329 0.836 0.505
0.500 0.000 0.000
0.671 0.164 0.495
0.836 0.329 0.005
```

Peak list (8 most intense, 5 to 70 degrees two-theta, sorted by position)
d = 7.128 Å, 12.4°, rel. 909
d = 3.564 Å, 25.0°, rel. 406
d = 2.987 Å, 29.9°, rel. 653
d = 2.572 Å, 34.9°, rel. 1000
d = 2.567 Å, 35.0°, rel. 989
d = 2.558 Å, 35.1°, rel. 906
d = 2.376 Å, 37.9°, rel. 493
d = 1.756 Å, 52.1°, rel. 448

What did the fifth record say?
For FeMo4N3, DFT lattice parameters and positions (PBE) gives the theoretical powder X-ray diffraction pattern in this record (copper Kα).
Neutral-atom scattering factors, no anomalous dispersion.

Cell and atoms:
```
FeMo4N3
1.0
2.828 0.000 0.000
-1.414 2.449 0.000
0.000 0.000 25.527
Fe Mo N
2 8 6
Direct
0.333 0.667 0.250
0.667 0.333 0.750
0.000 0.000 0.169
0.000 0.000 0.331
0.000 0.000 0.669
0.000 0.000 0.831
0.333 0.667 0.057
0.333 0.667 0.443
0.667 0.333 0.557
0.667 0.333 0.943
0.000 0.000 0.000
0.000 0.000 0.500
0.333 0.667 0.614
0.333 0.667 0.886
0.667 0.333 0.114
0.667 0.333 0.386
```

Peak list (8 most intense, 5 to 70 degrees two-theta, sorted by position)
d = 3.191 Å, 28.0°, rel. 253
d = 2.553 Å, 35.2°, rel. 234
d = 2.405 Å, 37.4°, rel. 291
d = 2.208 Å, 40.9°, rel. 621
d = 2.123 Å, 42.6°, rel. 1000
d = 1.685 Å, 54.5°, rel. 191
d = 1.606 Å, 57.4°, rel. 208
d = 1.414 Å, 66.1°, rel. 322